# 1
Calculated powder XRD pattern of TbY3Tm7 for Cu Kα (weighted mean of Kα1 and Kα2), from a PBE-relaxed structure.

Principal peaks in the range 2θ from 15° to 90°, low angle first:
| Position (°2θ) | intensity | hkl |
| --- | --- | --- |
| 31.41 | 100 | 0 2 1 |
| 36.43 | 52 | 2 0 2 |
| 52.47 | 35 | 2 2 0 |
| 62.43 | 31 | 2 2 3 |
| 62.49 | 11 | 4 0 1 |
| 65.60 | 9 | 0 4 2 |
| 85.83 | 9 | 0 4 5 |
| 85.96 | 9 | 2 4 1 |

Structural model:
abc: 6.9706 6.9706 8.5544
angles: 90.00 90.00 120.00
Space group P3m1 (No. 156)
Unique sites:
Tb: 0.0000 0.0000 0.0000 (multiplicity 1)
Y: 0.1669 0.3337 0.3381 (multiplicity 3)
Tm: 0.0023 0.5011 0.0003 (multiplicity 3)
Tm: 0.3311 0.1655 0.6739 (multiplicity 3)
Tm: 0.3333 0.6667 0.6745 (multiplicity 1)

---

# 2
Calculated powder XRD pattern of SmAl11Re for Cu Kα (weighted mean of Kα1 and Kα2), from a PBE-relaxed structure.

Principal peaks in the range 2θ from 15° to 90°, low angle first:
| Position (°2θ) | intensity | hkl |
| --- | --- | --- |
| 19.39 | 97 | 1 1 -1 |
| 27.04 | 49 | 1 1 1 |
| 27.82 | 43 | 1 3 -1 |
| 33.71 | 46 | 1 3 1 |
| 38.60 | 39 | 1 1 -3 |
| 39.19 | 100 | 0 4 2 |
| 39.38 | 41 | 2 2 -2 |
| 39.94 | 37 | 1 5 -1 |

Structural model:
abc: 5.2907 12.7135 7.1488
angles: 90.00 111.29 90.00
Space group C2/m (No. 12)
Unique sites:
Sm: 0.0000 0.0000 0.0000 (multiplicity 2)
Al: 0.0000 0.0000 0.5000 (multiplicity 2)
Al: 0.1074 0.3914 0.2231 (multiplicity 8)
Al: 0.1929 0.1733 0.3601 (multiplicity 8)
Al: 0.2500 0.2500 0.0000 (multiplicity 4)
Re: 0.0000 0.5000 0.5000 (multiplicity 2)

---

# 3
Calculated powder XRD pattern of TaS2I for Cu Kα (weighted mean of Kα1 and Kα2), from a PBE-relaxed structure.

Principal peaks in the range 2θ from 15° to 90°, low angle first:
| Position (°2θ) | intensity | hkl |
| --- | --- | --- |
| 15.53 | 100 | 0 0 2 |
| 31.53 | 76 | 1 1 1 |
| 34.42 | 33 | 2 0 -2 |
| 38.80 | 58 | 2 0 3 |
| 44.32 | 18 | 2 0 -4 |
| 50.71 | 27 | 1 1 -5 |
| 54.24 | 18 | 3 1 0 |
| 56.78 | 21 | 0 2 2 |

Structural model:
abc: 5.8594 3.3815 11.4120
angles: 90.00 90.11 90.00
Space group Cm (No. 8)
Unique sites:
Ta: 0.0000 0.0000 0.0000 (multiplicity 2)
S: 0.1672 0.5000 0.1344 (multiplicity 2)
S: 0.3328 0.0000 0.8657 (multiplicity 2)
I: 0.1658 0.5000 0.5209 (multiplicity 2)

---

# 4
Calculated powder XRD pattern of Yb4Zr3O12 for Cu Kα (weighted mean of Kα1 and Kα2), from a PBE-relaxed structure.

Principal peaks in the range 2θ from 15° to 90°, low angle first:
| Position (°2θ) | intensity | hkl |
| --- | --- | --- |
| 29.11 | 96 | 1 1 2 |
| 29.27 | 100 | 0 2 -2 |
| 29.50 | 98 | 2 -1 0 |
| 29.66 | 100 | 1 0 -4 |
| 33.88 | 44 | -1 2 2 |
| 34.15 | 85 | 2 1 -2 |
| 48.86 | 84 | 0 1 6 |
| 58.22 | 34 | -2 2 6 |

Structural model:
abc: 6.4125 6.4994 12.8079
angles: 99.19 98.96 99.37
Space group P-1 (No. 2)
Unique sites:
Yb: 0.1089 0.1333 0.4015 (multiplicity 2)
Yb: 0.1898 0.3934 0.6824 (multiplicity 2)
Yb: 0.2067 0.3935 0.1814 (multiplicity 2)
Yb: 0.3576 0.6977 0.9496 (multiplicity 2)
Zr: 0.1093 0.1378 0.9008 (multiplicity 2)
Zr: 0.3563 0.6762 0.4469 (multiplicity 2)
Zr: 0.4914 0.9898 0.7471 (multiplicity 2)
O: 0.0621 0.8315 0.9616 (multiplicity 2)
O: 0.0699 0.4176 0.8437 (multiplicity 2)
O: 0.0897 0.8192 0.4599 (multiplicity 2)
O: 0.0945 0.4325 0.3412 (multiplicity 2)
O: 0.1764 0.0586 0.7224 (multiplicity 2)
O: 0.1867 0.0323 0.2034 (multiplicity 2)
O: 0.3153 0.4031 0.0272 (multiplicity 2)
O: 0.3244 0.4224 0.5324 (multiplicity 2)
O: 0.4238 0.0734 0.9070 (multiplicity 2)
O: 0.4274 0.6821 0.7782 (multiplicity 2)
O: 0.4284 0.6969 0.2934 (multiplicity 2)
O: 0.4738 0.1095 0.4116 (multiplicity 2)